Starting from a structure optimized by DFT (PBE), the powder X-ray diffraction pattern of LaCu8Ni2 was computed for Cu Kα X-rays.
Peak positions follow from Bragg's law for the DFT cell and can differ from measured ones.

Principal peaks in the range 15° ≤ 2θ ≤ 90°, by angle:
d 4.097, intensity 32
d 3.357, intensity 26
d 2.379, intensity 16
d 2.358, intensity 46
d 2.298, intensity 40
d 2.292, intensity 40
d 2.114, intensity 18
d 2.067, intensity 65
d 1.883, intensity 100
d 1.554, intensity 24

Atomic structure:
```
11
Lattice="4.133 -2.460 0.000 4.133 2.460 0.000 -4.108 0.000 8.280" Properties=species:S:1:pos:R:3 pbc="T T T"
La 0.000 0.000 0.000
Cu 0.014 1.244 5.450
Cu -1.959 0.000 6.306
Cu 2.167 0.000 1.972
Cu 4.144 1.244 2.831
Cu 0.014 -1.244 5.450
Cu 1.991 0.000 6.309
Cu 6.117 0.000 1.974
Cu 4.144 -1.244 2.831
Ni 2.079 1.230 4.140
Ni 2.079 -1.230 4.140
```